[1]
For Sm2CuTe4, a structure optimized by DFT (GGA-PBE) gives the computed X-ray diffraction stick pattern in this record (λ = 1.5418 Å (Cu Kα)).
Intensities are scaled so that the largest is 100.

Largest 10 diffraction maxima, in order of rising 2θ, 10° ≤ 2θ ≤ 90°:
| 2θ/deg | I_rel |
| --- | --- |
| 20.9 | 44 |
| 25.7 | 37 |
| 29.2 | 66 |
| 29.9 | 43 |
| 31.8 | 71 |
| 31.9 | 50 |
| 34.6 | 84 |
| 35.1 | 100 |
| 36.3 | 45 |
| 39.6 | 72 |

Atomic structure:
Cell lengths 6.5037, 8.2788, 7.6312 Å; angles 90.00, 90.10, 90.00 degrees
Space group P2_1 (No. 4)
Asymmetric unit:
Sm 0.0005 0.0000 0.2267 x2
Sm 0.4934 0.3889 0.2372 x2
Cu 0.1860 0.1473 0.5881 x2
Te 0.0184 0.3593 0.3819 x2
Te 0.2489 0.1952 0.9208 x2
Te 0.2536 0.6956 0.0698 x2
Te 0.4799 0.0370 0.3840 x2

[2]
For SmYCu4, a structure optimized by DFT (GGA-PBE) gives the computed X-ray diffraction stick pattern in this record (λ = 1.5418 Å (Cu Kα)).
Intensities are scaled so that the largest is 100.

Largest 10 diffraction maxima, in order of rising 2θ, 10° ≤ 2θ ≤ 90°:
| 2θ/deg | I_rel |
| --- | --- |
| 34.4 | 36 |
| 35.2 | 100 |
| 35.5 | 40 |
| 40.9 | 19 |
| 41.5 | 35 |
| 42.1 | 51 |
| 55.7 | 21 |
| 59.7 | 12 |
| 68.4 | 17 |
| 71.7 | 12 |

Atomic structure:
Cell lengths 4.3477, 6.9393, 7.3985 Å; angles 90.00, 90.00, 90.00 degrees
Space group Imm2 (No. 44)
Asymmetric unit:
Sm 0.0000 0.0000 0.0000 x2
Y 0.0000 0.5000 0.0808 x2
Cu 0.0000 0.1978 0.3789 x4
Cu 0.0000 0.3001 0.7054 x4

[3]
For Cu5Sn4, a structure optimized by DFT (GGA-PBE) gives the computed X-ray diffraction stick pattern in this record (λ = 1.5418 Å (Cu Kα)).
Intensities are scaled so that the largest is 100.

Largest 10 diffraction maxima, in order of rising 2θ, 10° ≤ 2θ ≤ 90°:
| 2θ/deg | I_rel |
| --- | --- |
| 29.6 | 37 |
| 29.8 | 33 |
| 29.9 | 34 |
| 42.1 | 36 |
| 42.6 | 100 |
| 42.9 | 61 |
| 59.4 | 9 |
| 61.5 | 9 |
| 62.2 | 9 |
| 77.3 | 10 |

Atomic structure:
Cell lengths 10.0338, 7.3246, 9.9881 Å; angles 90.00, 118.02, 90.00 degrees
Space group P2_1/c (No. 14)
Asymmetric unit:
Cu 0.0556 0.2233 0.4431 x4
Cu 0.1898 0.7440 0.3134 x4
Cu 0.1911 0.5892 0.0622 x4
Cu 0.3163 0.2232 0.6837 x4
Cu 0.4296 0.7428 0.5686 x4
Sn 0.0708 0.0995 0.7156 x4
Sn 0.1834 0.5515 0.5647 x4
Sn 0.3236 0.0868 0.4227 x4
Sn 0.4560 0.5976 0.3313 x4

[4]
For Cu5Sn4, a structure optimized by DFT (GGA-PBE) gives the computed X-ray diffraction stick pattern in this record (λ = 1.5418 Å (Cu Kα)).
Intensities are scaled so that the largest is 100.

Largest 10 diffraction maxima, in order of rising 2θ, 10° ≤ 2θ ≤ 90°:
| 2θ/deg | I_rel |
| --- | --- |
| 29.7 | 67 |
| 29.8 | 32 |
| 42.3 | 100 |
| 42.6 | 30 |
| 42.8 | 57 |
| 52.6 | 12 |
| 61.5 | 9 |
| 69.6 | 12 |
| 77.3 | 14 |
| 77.8 | 11 |

Atomic structure:
Cell lengths 12.8367, 7.4027, 10.3091 Å; angles 90.00, 90.33, 90.00 degrees
Space group C2 (No. 5)
Asymmetric unit:
Cu 0.0000 0.0000 0.0000 x2
Cu 0.0076 0.3177 0.8742 x4
Cu 0.0085 0.3337 0.6232 x4
Cu 0.1606 0.8631 0.8742 x4
Cu 0.1661 0.8414 0.1258 x4
Cu 0.1686 0.8577 0.6235 x4
Cu 0.1710 0.1782 0.7498 x4
Cu 0.1739 0.8344 0.3772 x4
Sn 0.0000 0.6433 0.0000 x2
Sn 0.0000 0.6695 0.5000 x2
Sn 0.0088 0.9917 0.2684 x4
Sn 0.1497 0.5007 0.2494 x4
Sn 0.1632 0.5355 0.7507 x4
Sn 0.1687 0.1774 0.4805 x4
Sn 0.1789 0.1865 0.0188 x4

[5]
For CuSn3, a structure optimized by DFT (GGA-PBE) gives the computed X-ray diffraction stick pattern in this record (λ = 1.5418 Å (Cu Kα)).
Intensities are scaled so that the largest is 100.

Largest 10 diffraction maxima, in order of rising 2θ, 10° ≤ 2θ ≤ 90°:
| 2θ/deg | I_rel |
| --- | --- |
| 23.6 | 6 |
| 31.2 | 25 |
| 35.9 | 23 |
| 36.1 | 100 |
| 48.3 | 15 |
| 55.5 | 19 |
| 64.6 | 19 |
| 67.9 | 21 |
| 68.0 | 16 |
| 76.6 | 4 |

Atomic structure:
Cell lengths 6.6229, 6.6229, 5.0048 Å; angles 90.00, 90.00, 120.00 degrees
Space group P6_3/mmc (No. 194)
Asymmetric unit:
Cu 0.3333 0.6667 0.2500 x2
Sn 0.1723 0.3447 0.7500 x6

[6]
For Cu3Sn, a structure optimized by DFT (GGA-PBE) gives the computed X-ray diffraction stick pattern in this record (λ = 1.5418 Å (Cu Kα)).
Intensities are scaled so that the largest is 100.

Largest 10 diffraction maxima, in order of rising 2θ, 10° ≤ 2θ ≤ 90°:
| 2θ/deg | I_rel |
| --- | --- |
| 37.0 | 26 |
| 37.6 | 11 |
| 41.7 | 37 |
| 42.7 | 100 |
| 43.2 | 48 |
| 57.0 | 14 |
| 67.5 | 15 |
| 76.8 | 17 |
| 81.4 | 10 |
| 82.5 | 30 |

Atomic structure:
Cell lengths 5.6391, 47.8044, 4.3329 Å; angles 90.00, 90.00, 90.00 degrees
Space group Cmcm (No. 63)
Asymmetric unit:
Cu 0.0000 0.0302 0.2500 x4
Cu 0.0000 0.1292 0.2500 x4
Cu 0.0000 0.2295 0.2500 x4
Cu 0.0000 0.3297 0.2500 x4
Cu 0.0000 0.4304 0.2500 x4
Cu 0.2378 0.0156 0.7500 x8
Cu 0.2437 0.4156 0.7500 x8
Cu 0.2461 0.3155 0.7500 x8
Cu 0.2467 0.2154 0.7500 x8
Cu 0.2488 0.1154 0.7500 x8
Sn 0.0000 0.0662 0.7500 x4
Sn 0.0000 0.1655 0.7500 x4
Sn 0.0000 0.2655 0.7500 x4
Sn 0.0000 0.3655 0.7500 x4
Sn 0.0000 0.4659 0.7500 x4

[7]
For Cu3Sn, a structure optimized by DFT (GGA-PBE) gives the computed X-ray diffraction stick pattern in this record (λ = 1.5418 Å (Cu Kα)).
Intensities are scaled so that the largest is 100.

Largest 10 diffraction maxima, in order of rising 2θ, 10° ≤ 2θ ≤ 90°:
| 2θ/deg | I_rel |
| --- | --- |
| 37.0 | 11 |
| 37.8 | 27 |
| 41.4 | 39 |
| 42.6 | 54 |
| 43.4 | 100 |
| 57.4 | 15 |
| 67.2 | 17 |
| 76.9 | 17 |
| 82.1 | 18 |
| 84.5 | 14 |

Atomic structure:
Cell lengths 4.3571, 5.4521, 4.8613 Å; angles 90.00, 90.00, 90.00 degrees
Space group Pmmn (No. 59, origin choice 2)
Asymmetric unit:
Cu 0.2500 0.0016 0.1546 x4
Cu 0.2500 0.7500 0.6945 x2
Sn 0.2500 0.2500 0.6577 x2

[8]
For Cu10Sn3, a structure optimized by DFT (GGA-PBE) gives the computed X-ray diffraction stick pattern in this record (λ = 1.5418 Å (Cu Kα)).
Intensities are scaled so that the largest is 100.

Largest 10 diffraction maxima, in order of rising 2θ, 10° ≤ 2θ ≤ 90°:
| 2θ/deg | I_rel |
| --- | --- |
| 28.5 | 12 |
| 38.1 | 7 |
| 39.6 | 100 |
| 43.4 | 72 |
| 49.6 | 8 |
| 60.2 | 24 |
| 69.3 | 19 |
| 77.1 | 21 |
| 79.6 | 8 |
| 85.4 | 10 |

Atomic structure:
Cell lengths 7.2248, 7.2248, 8.7803 Å; angles 90.00, 90.00, 120.00 degrees
Space group P-31m (No. 162)
Asymmetric unit:
Cu 0.0000 0.0000 0.1612 x2
Cu 0.0000 0.2720 0.4086 x6
Cu 0.0000 0.3166 0.7327 x6
Cu 0.0000 0.3181 0.0548 x6
Sn 0.3333 0.6667 0.1668 x4
Sn 0.3333 0.6667 0.5000 x2